(1)
Calculated powder XRD pattern
Compound: TaCr2Ni
Radiation: CuKα
Structure: a crystal structure in Alexandria, relaxed with GGA-PBE
No peak broadening, texture or thermal motion is included.

Lattice parameters (Å, degrees): 3.229 4.036 8.123 90.00 90.00 90.00
Element x y z (fractional)
Ta1 0.000 0.000 0.000
Ta2 0.500 0.500 0.000
Cr1 0.000 0.500 0.274
Cr2 0.000 0.500 0.726
Cr3 0.500 0.000 0.274
Cr4 0.500 0.000 0.726
Ni1 0.000 0.000 0.500
Ni2 0.500 0.500 0.500

Most intense lines, 10 to 80 degrees two-theta, in order of rising 2θ:
- 10.9 deg, I = 47
- 21.9 deg, I = 22
- 33.1 deg, I = 11
- 35.6 deg, I = 12
- 37.3 deg, I = 20
- 42.2 deg, I = 100
- 44.6 deg, I = 19
- 44.9 deg, I = 21
- 57.0 deg, I = 10
- 65.2 deg, I = 12

(2)
Calculated powder XRD pattern
Compound: Ac2BiH
Radiation: CuKα
Structure: a crystal structure in Alexandria, relaxed with GGA-PBE
No peak broadening, texture or thermal motion is included.

Lattice parameters (Å, degrees): 7.925 7.925 7.925 90.00 90.00 90.00
Element x y z (fractional)
Ac1 0.250 0.250 0.250
Ac2 0.250 0.250 0.750
Ac3 0.250 0.750 0.250
Ac4 0.250 0.750 0.750
Ac5 0.750 0.250 0.250
Ac6 0.750 0.250 0.750
Ac7 0.750 0.750 0.250
Ac8 0.750 0.750 0.750
Bi1 0.000 0.000 0.000
Bi2 0.000 0.500 0.500
Bi3 0.500 0.000 0.500
Bi4 0.500 0.500 0.000
H1 0.000 0.000 0.500
H2 0.000 0.500 0.000
H3 0.500 0.000 0.000
H4 0.500 0.500 0.500

Most intense lines, 10 to 80 degrees two-theta, in order of rising 2θ:
- 19.4 deg, I = 22
- 22.4 deg, I = 15
- 31.9 deg, I = 100
- 37.6 deg, I = 13
- 45.8 deg, I = 19
- 50.2 deg, I = 6
- 51.6 deg, I = 7
- 56.9 deg, I = 40
- 66.8 deg, I = 13
- 75.9 deg, I = 18

(3)
Calculated powder XRD pattern
Compound: Cs2Hg7Au2
Radiation: CuKα
Structure: a crystal structure in Alexandria, relaxed with GGA-PBE
No peak broadening, texture or thermal motion is included.

Lattice parameters (Å, degrees): 7.945 7.945 7.329 116.03 116.03 69.64
Element x y z (fractional)
Cs1 0.245 0.755 0.000
Cs2 0.755 0.245 0.000
Hg1 0.000 0.000 0.500
Hg2 0.168 0.540 0.383
Hg3 0.241 0.241 0.953
Hg4 0.460 0.832 0.617
Hg5 0.540 0.168 0.383
Hg6 0.759 0.759 0.047
Hg7 0.832 0.460 0.617
Au1 0.237 0.237 0.548
Au2 0.763 0.763 0.452

Most intense lines, 10 to 80 degrees two-theta, in order of rising 2θ:
- 14.3 deg, I = 57
- 25.4 deg, I = 56
- 28.8 deg, I = 60
- 31.4 deg, I = 100
- 32.0 deg, I = 93
- 33.4 deg, I = 47
- 34.0 deg, I = 47
- 35.8 deg, I = 60
- 38.2 deg, I = 77
- 49.8 deg, I = 70